1.
Calculated powder diffractogram
Compound: Ba2YBiO6
Radiation: Cu Kα (λ = 1.5418 Å)
Structure: a structure optimized by DFT (GGA-PBE)

Main lines, in order of falling intensity (2θ from 10° to 80°):
index, two_theta, Rel. int.
2 2 0, 28.96, 100
4 2 2, 51.33, 42
4 0 0, 41.42, 30
4 4 0, 60.01, 19
6 2 0, 67.99, 18
1 1 1, 17.62, 10

Cell and atoms:
Unit cell a=8.721 b=8.721 c=8.721 alpha=90.00 beta=90.00 gamma=90.00
Space group Fm-3m (No. 225)
Symmetry-distinct sites (fractional):
Ba 0.250 0.250 0.250 x8
Y 0.000 0.000 0.000 x4
Bi 0.000 0.000 0.500 x4
O 0.000 0.000 0.256 x24

***

2.
Calculated powder diffractogram
Compound: Ba3BiP
Radiation: Cu Kα (λ = 1.5418 Å)
Structure: a structure optimized by DFT (GGA-PBE)

Main lines, in order of falling intensity (2θ from 10° to 80°):
index, two_theta, Rel. int.
1 1 1, 25.11, 100
2 0 0, 29.07, 64
3 1 1, 49.20, 49
2 2 0, 41.59, 49
4 2 0, 68.29, 23
3 3 1, 66.33, 20

Cell and atoms:
Unit cell a=6.142 b=6.142 c=6.142 alpha=90.00 beta=90.00 gamma=90.00
Space group Pm-3m (No. 221)
Symmetry-distinct sites (fractional):
Ba 0.000 0.000 0.500 x3
Bi 0.500 0.500 0.500 x1
P 0.000 0.000 0.000 x1

***

3.
Calculated powder diffractogram
Compound: Ba3BiP
Radiation: Cu Kα (λ = 1.5418 Å)
Structure: a structure optimized by DFT (GGA-PBE)

Main lines, in order of falling intensity (2θ from 10° to 80°):
index, two_theta, Rel. int.
1 0 0, 13.49, 100
2 0 0, 27.17, 87
2 2 0, 38.81, 67
2 1 0, 30.46, 61
3 0 0, 41.27, 34
4 2 0, 63.38, 32

Cell and atoms:
Unit cell a=6.563 b=6.563 c=6.563 alpha=90.00 beta=90.00 gamma=90.00
Space group Pm-3m (No. 221)
Symmetry-distinct sites (fractional):
Ba 0.000 0.000 0.500 x3
Bi 0.000 0.000 0.000 x1
P 0.500 0.500 0.500 x1

***

4.
Calculated powder diffractogram
Compound: BaBi2Pd2
Radiation: Cu Kα (λ = 1.5418 Å)
Structure: a structure optimized by DFT (GGA-PBE)

Main lines, in order of falling intensity (2θ from 10° to 80°):
index, two_theta, Rel. int.
1 0 3, 30.42, 100
1 1 -2, 29.88, 99
0 2 0, 36.45, 77
2 0 0, 35.88, 71
0 1 3, 30.26, 59
1 1 -4, 41.15, 55

Cell and atoms:
Unit cell a=5.007 b=4.930 c=11.071 alpha=90.00 beta=91.49 gamma=90.00
Space group P2_1/m (No. 11)
Symmetry-distinct sites (fractional):
Ba 0.242 0.250 0.241 x2
Bi 0.251 0.750 0.499 x2
Bi 0.286 0.250 0.881 x2
Pd 0.196 0.750 0.999 x2
Pd 0.253 0.250 0.627 x2

***

Repeat the third record exactly.
Calculated powder diffractogram
Compound: Ba3BiP
Radiation: Cu Kα (λ = 1.5418 Å)
Structure: a structure optimized by DFT (GGA-PBE)

Main lines, in order of falling intensity (2θ from 10° to 80°):
index, two_theta, Rel. int.
1 0 0, 13.49, 100
2 0 0, 27.17, 87
2 2 0, 38.81, 67
2 1 0, 30.46, 61
3 0 0, 41.27, 34
4 2 0, 63.38, 32

Cell and atoms:
Unit cell a=6.563 b=6.563 c=6.563 alpha=90.00 beta=90.00 gamma=90.00
Space group Pm-3m (No. 221)
Symmetry-distinct sites (fractional):
Ba 0.000 0.000 0.500 x3
Bi 0.000 0.000 0.000 x1
P 0.500 0.500 0.500 x1